The following is a simulated powder diffraction line list of MgH5Ir2. It was derived from a crystal structure in Alexandria, relaxed with PBE, using Cu Kα, 1.54184 Å.
Kinematic intensities with the Lorentz-polarization factor, no thermal factor.

Most intense lines, 10° ≤ 2θ ≤ 90°, in order of falling intensity:
- 38.17°, I 100.0
- 29.41°, I 76.8
- 23.80°, I 64.9
- 57.92°, I 22.9
- 41.22°, I 20.4
- 48.15°, I 19.8
- 42.91°, I 18.3
- 49.65°, I 18.2

Cell and atoms:
```
MgH5Ir2
1.0
3.038 -3.739 0.000
3.038 3.739 0.000
-2.922 0.000 3.039
Mg H Ir
1 5 2
direct
0.000 0.000 0.000
0.164 0.495 0.985
0.491 0.164 0.670
0.500 0.500 0.500
0.505 0.836 0.015
0.836 0.509 0.330
0.257 0.743 0.500
0.743 0.257 0.500
```



The following is a simulated powder diffraction line list of Mg5HIr4. It was derived from a crystal structure in Alexandria, relaxed with PBE, using Cu Kα, 1.54184 Å.
Kinematic intensities with the Lorentz-polarization factor, no thermal factor.

Most intense lines, 10° ≤ 2θ ≤ 90°, in order of falling intensity:
- 24.53°, I 100.0
- 21.17°, I 77.9
- 40.79°, I 68.4
- 43.37°, I 51.0
- 40.28°, I 40.0
- 31.97°, I 30.8
- 21.97°, I 28.0
- 41.26°, I 27.2

Cell and atoms:
```
Mg5HIr4
1.0
4.478 0.000 0.000
2.234 4.748 0.000
0.007 0.781 7.502
Mg H Ir
5 1 4
direct
0.000 0.000 0.000
0.068 0.862 0.611
0.316 0.367 0.056
0.572 0.855 0.327
0.772 0.454 0.685
0.032 0.934 0.329
0.316 0.367 0.457
0.467 0.065 0.752
0.666 0.669 0.003
0.857 0.286 0.296
```



The following is a simulated powder diffraction line list of Mg3H5Ir2. It was derived from a crystal structure in Alexandria, relaxed with PBE, using Cu Kα, 1.54184 Å.
Kinematic intensities with the Lorentz-polarization factor, no thermal factor.

Most intense lines, 10° ≤ 2θ ≤ 90°, in order of falling intensity:
- 39.05°, I 100.0
- 40.25°, I 83.8
- 12.13°, I 76.8
- 20.31°, I 75.2
- 25.56°, I 65.4
- 24.39°, I 62.4
- 29.02°, I 50.8
- 38.51°, I 49.1

Cell and atoms:
```
Mg3H5Ir2
1.0
4.685 0.000 0.000
0.000 3.077 0.000
-1.875 0.000 7.298
Mg H Ir
3 5 2
direct
0.000 0.000 0.000
0.303 0.000 0.677
0.667 0.000 0.362
0.336 0.500 0.155
0.480 0.500 0.496
0.623 0.500 0.859
0.809 0.500 0.172
0.999 0.500 0.519
0.150 0.500 0.315
0.809 0.500 0.699
```



The following is a simulated powder diffraction line list of Mg3H3Ir2. It was derived from a crystal structure in Alexandria, relaxed with PBE, using Cu Kα, 1.54184 Å.
Kinematic intensities with the Lorentz-polarization factor, no thermal factor.

Most intense lines, 10° ≤ 2θ ≤ 90°, in order of falling intensity:
- 23.38°, I 100.0
- 21.85°, I 70.8
- 38.89°, I 41.8
- 39.26°, I 36.6
- 39.85°, I 33.6
- 41.98°, I 20.6
- 47.81°, I 18.4
- 37.45°, I 17.3

Cell and atoms:
```
Mg3H3Ir2
1.0
4.304 0.000 0.000
-2.144 4.859 0.000
-2.152 -1.722 4.803
Mg H Ir
3 3 2
direct
0.000 0.000 0.000
0.044 0.418 0.670
0.522 0.727 0.318
0.012 0.624 0.400
0.348 0.259 0.428
0.493 0.045 0.942
0.300 0.012 0.589
0.748 0.455 0.040
```



The following is a simulated powder diffraction line list of Mg6HIr2. It was derived from a crystal structure in Alexandria, relaxed with PBE, using Cu Kα, 1.54184 Å.
Kinematic intensities with the Lorentz-polarization factor, no thermal factor.

Most intense lines, 10° ≤ 2θ ≤ 90°, in order of falling intensity:
- 24.46°, I 100.0
- 22.46°, I 62.7
- 22.63°, I 60.7
- 40.09°, I 60.7
- 38.88°, I 57.9
- 25.39°, I 42.2
- 25.59°, I 39.0
- 39.94°, I 31.5

Cell and atoms:
```
Mg6HIr2
1.0
4.635 0.000 0.000
-0.040 5.319 0.000
-0.002 -0.044 5.876
Mg H Ir
6 1 2
direct
0.000 0.000 0.000
0.000 0.002 0.502
0.498 0.686 0.510
0.498 0.690 0.994
0.500 0.227 0.754
0.991 0.458 0.250
0.448 0.440 0.248
0.505 0.129 0.254
0.996 0.534 0.751
```



The following is a simulated powder diffraction line list of Mg4HIr4. It was derived from a crystal structure in Alexandria, relaxed with PBE, using Cu Kα, 1.54184 Å.
Kinematic intensities with the Lorentz-polarization factor, no thermal factor.

Most intense lines, 10° ≤ 2θ ≤ 90°, in order of falling intensity:
- 40.43°, I 100.0
- 28.45°, I 76.2
- 40.67°, I 51.3
- 28.12°, I 37.0
- 73.85°, I 34.3
- 50.17°, I 31.2
- 58.87°, I 17.4
- 73.36°, I 15.7

Cell and atoms:
```
Mg4HIr4
1.0
6.347 0.000 0.000
0.000 3.138 3.137
0.000 -3.138 3.137
Mg H Ir
4 1 4
direct
0.000 0.250 0.750
0.000 0.750 0.250
0.500 0.250 0.750
0.500 0.750 0.250
0.000 0.248 0.248
0.248 0.750 0.750
0.273 0.250 0.250
0.727 0.250 0.250
0.752 0.750 0.750
```



The following is a simulated powder diffraction line list of Mg5H4Ir. It was derived from a crystal structure in Alexandria, relaxed with PBE, using Cu Kα, 1.54184 Å.
Kinematic intensities with the Lorentz-polarization factor, no thermal factor.

Most intense lines, 10° ≤ 2θ ≤ 90°, in order of falling intensity:
- 15.84°, I 100.0
- 18.69°, I 89.5
- 19.27°, I 88.3
- 37.24°, I 55.7
- 23.07°, I 53.5
- 39.27°, I 52.6
- 23.65°, I 45.7
- 39.44°, I 39.4

Cell and atoms:
```
Mg5H4Ir
1.0
4.904 0.000 0.000
-1.662 4.783 0.000
-0.412 -0.677 5.593
Mg H Ir
5 4 1
direct
0.000 0.000 0.000
0.087 0.284 0.476
0.408 0.601 0.998
0.544 0.143 0.739
0.679 0.683 0.478
0.243 0.876 0.280
0.310 0.659 0.659
0.777 0.625 0.818
0.844 0.409 0.197
0.543 0.142 0.238
```



The following is a simulated powder diffraction line list of MgH5Ir3. It was derived from a crystal structure in Alexandria, relaxed with PBE, using Cu Kα, 1.54184 Å.
Kinematic intensities with the Lorentz-polarization factor, no thermal factor.

Most intense lines, 10° ≤ 2θ ≤ 90°, in order of falling intensity:
- 19.73°, I 100.0
- 39.18°, I 54.8
- 39.65°, I 47.2
- 40.15°, I 35.4
- 45.25°, I 23.4
- 37.81°, I 21.4
- 37.97°, I 21.1
- 48.58°, I 18.5

Cell and atoms:
```
MgH5Ir3
1.0
4.491 0.000 0.000
2.243 4.171 0.000
2.223 0.124 4.499
Mg H Ir
1 5 3
direct
0.000 0.000 0.000
0.161 0.415 0.788
0.361 0.585 0.212
0.500 0.000 0.000
0.639 0.415 0.788
0.839 0.585 0.212
0.000 0.500 0.500
0.377 0.864 0.381
0.623 0.136 0.619
```



The following is a simulated powder diffraction line list of Mg4H4Ir. It was derived from a crystal structure in Alexandria, relaxed with PBE, using Cu Kα, 1.54184 Å.
Kinematic intensities with the Lorentz-polarization factor, no thermal factor.

Most intense lines, 10° ≤ 2θ ≤ 90°, in order of falling intensity:
- 36.93°, I 100.0
- 21.16°, I 87.1
- 15.81°, I 64.6
- 25.22°, I 58.6
- 19.53°, I 52.9
- 28.95°, I 37.3
- 31.03°, I 33.9
- 45.38°, I 24.4

Cell and atoms:
```
Mg4H4Ir
1.0
4.528 0.000 0.000
0.000 4.546 0.000
-2.259 0.000 5.606
Mg H Ir
4 4 1
direct
0.150 0.000 0.297
0.349 0.500 0.698
0.651 0.500 0.302
0.850 0.000 0.703
0.237 0.740 0.998
0.238 0.263 0.998
0.762 0.263 0.002
0.763 0.740 0.002
0.500 0.002 0.000
```



The following is a simulated powder diffraction line list of MgH5Ir3. It was derived from a crystal structure in Alexandria, relaxed with PBE, using Cu Kα, 1.54184 Å.
Kinematic intensities with the Lorentz-polarization factor, no thermal factor.

Most intense lines, 10° ≤ 2θ ≤ 90°, in order of falling intensity:
- 19.91°, I 100.0
- 38.95°, I 47.9
- 40.75°, I 44.3
- 38.31°, I 38.8
- 47.28°, I 21.3
- 43.45°, I 13.9
- 43.61°, I 13.6
- 40.45°, I 9.4

Cell and atoms:
```
MgH5Ir3
1.0
4.695 0.000 0.000
-2.342 4.069 0.000
-0.770 -2.247 4.460
Mg H Ir
1 5 3
direct
0.000 0.000 0.000
0.148 0.584 0.193
0.207 0.548 0.753
0.593 0.155 0.745
0.612 0.050 0.193
0.640 0.530 0.166
0.331 0.269 0.598
0.594 0.839 0.429
0.926 0.521 0.443
```



The following is a simulated powder diffraction line list of Mg2H2Ir3. It was derived from a crystal structure in Alexandria, relaxed with PBE, using Cu Kα, 1.54184 Å.
Kinematic intensities with the Lorentz-polarization factor, no thermal factor.

Most intense lines, 10° ≤ 2θ ≤ 90°, in order of falling intensity:
- 14.26°, I 100.0
- 38.05°, I 65.1
- 44.76°, I 43.8
- 38.25°, I 31.5
- 38.81°, I 30.9
- 44.00°, I 17.9
- 47.70°, I 17.3
- 42.57°, I 14.9

Cell and atoms:
```
Mg2H2Ir3
1.0
2.889 0.000 0.000
1.440 4.701 0.000
1.441 1.343 6.212
Mg H Ir
2 2 3
direct
0.000 0.000 0.000
0.148 0.413 0.288
0.378 0.004 0.236
0.640 0.637 0.082
0.354 0.805 0.486
0.576 0.203 0.643
0.789 0.582 0.838
```



The following is a simulated powder diffraction line list of MgH6Ir2. It was derived from a crystal structure in Alexandria, relaxed with PBE, using Cu Kα, 1.54184 Å.
Kinematic intensities with the Lorentz-polarization factor, no thermal factor.

Most intense lines, 10° ≤ 2θ ≤ 90°, in order of falling intensity:
- 25.05°, I 100.0
- 36.04°, I 99.8
- 25.48°, I 95.0
- 39.31°, I 79.8
- 39.60°, I 79.1
- 47.43°, I 71.1
- 29.79°, I 64.9
- 66.78°, I 34.5

Cell and atoms:
```
MgH6Ir2
1.0
0.000 3.495 3.555
2.999 0.000 3.555
2.999 3.495 0.000
Mg H Ir
1 6 2
direct
0.000 0.000 0.000
0.070 0.467 0.930
0.467 0.070 0.533
0.495 0.495 0.005
0.541 0.832 0.168
0.832 0.541 0.459
0.995 0.995 0.505
0.246 0.246 0.254
0.746 0.746 0.754
```



The following is a simulated powder diffraction line list of Mg4HIr4. It was derived from a crystal structure in Alexandria, relaxed with PBE, using Cu Kα, 1.54184 Å.
Kinematic intensities with the Lorentz-polarization factor, no thermal factor.

Most intense lines, 10° ≤ 2θ ≤ 90°, in order of falling intensity:
- 22.00°, I 100.0
- 40.16°, I 67.0
- 42.34°, I 55.5
- 37.84°, I 32.5
- 32.42°, I 25.7
- 19.95°, I 23.3
- 44.86°, I 21.4
- 32.04°, I 20.5

Cell and atoms:
```
Mg4HIr4
1.0
4.759 0.000 0.000
1.805 4.971 0.000
0.019 1.682 5.521
Mg H Ir
4 1 4
direct
0.000 0.000 0.000
0.005 0.997 0.491
0.599 0.569 0.110
0.603 0.567 0.601
0.799 0.780 0.801
0.112 0.498 0.369
0.129 0.485 0.880
0.474 0.082 0.721
0.491 0.068 0.232
```



The following is a simulated powder diffraction line list of Mg5H2Ir2. It was derived from a crystal structure in Alexandria, relaxed with PBE, using Cu Kα, 1.54184 Å.
Kinematic intensities with the Lorentz-polarization factor, no thermal factor.

Most intense lines, 10° ≤ 2θ ≤ 90°, in order of falling intensity:
- 19.75°, I 100.0
- 24.73°, I 54.4
- 21.90°, I 53.1
- 14.75°, I 38.6
- 23.91°, I 36.7
- 20.98°, I 32.0
- 27.43°, I 32.0
- 39.01°, I 31.9

Cell and atoms:
```
Mg5H2Ir2
1.0
4.619 0.000 0.000
2.140 5.016 0.000
0.342 2.040 6.008
Mg H Ir
5 2 2
direct
0.000 0.000 0.000
0.316 0.337 0.091
0.328 0.263 0.579
0.672 0.737 0.421
0.684 0.663 0.909
0.460 0.479 0.755
0.540 0.521 0.245
0.142 0.781 0.670
0.858 0.219 0.330
```